Structure and computed powder diffraction line list of PaZn4N4 (the PBE geometry in Alexandria; Cu Ka).
Neutral-atom scattering factors, no anomalous dispersion.

Top 10 peaks for 10° ≤ 2θ ≤ 90°, by angle:
2θ 19.75, I = 34; 2θ 26.35, I = 37; 2θ 29.84, I = 85; 2θ 31.72, I = 36; 2θ 33.02, I = 55; 2θ 34.31, I = 100; 2θ 34.68, I = 47; 2θ 36.18, I = 42; 2θ 51.00, I = 35; 2θ 53.58, I = 32

Cell and atoms:
```
PaZn4N4
1.0
4.5435 -3.8712 0.0000
4.5435 3.8712 0.0000
0.0000 0.0000 6.9537
Pa Zn N
2 8 8
direct
0.1496 0.8504 0.7500
0.8504 0.1496 0.2500
0.0835 0.6245 0.2500
0.3448 0.3448 0.0000
0.3448 0.3448 0.5000
0.3755 0.9165 0.2500
0.6245 0.0835 0.7500
0.6552 0.6552 0.0000
0.6552 0.6552 0.5000
0.9165 0.3755 0.7500
0.1991 0.2494 0.2500
0.2494 0.1991 0.7500
0.2923 0.7077 0.0200
0.2923 0.7077 0.4800
0.7077 0.2923 0.5200
0.7077 0.2923 0.9800
0.7506 0.8009 0.2500
0.8009 0.7506 0.7500
```